[1]
Calculated X-ray powder pattern of FeCu2Os for Cu Kα X-rays, from the GGA-PBE geometry in Alexandria.
Intensities are scaled so that the largest is 100.

Atomic structure:
Cell: 2.663 2.663 7.042 Å, 90.00 90.00 90.00°
Space group P4mm (No. 99)
Inequivalent atoms, fractional coordinates:
Fe 0.000 0.000 0.000
Cu 0.000 0.000 0.507
Cu 0.500 0.500 0.750
Os 0.500 0.500 0.232

Main lines, in order of rising 2θ (10 to 90 degrees two-theta):
(0 0 1), 12.6°, d = 7.042 Å, rel. 42; (0 0 2), 25.3°, d = 3.521 Å, rel. 12; (1 0 0), 33.7°, d = 2.663 Å, rel. 11; (1 0 1), 36.1°, d = 2.491 Å, rel. 17; (1 0 2), 42.6°, d = 2.124 Å, rel. 100; (1 1 0), 48.3°, d = 1.883 Å, rel. 35; (0 0 4), 51.9°, d = 1.761 Å, rel. 18; (1 1 2), 55.3°, d = 1.660 Å, rel. 6; (1 0 4), 63.3°, d = 1.469 Å, rel. 9; (2 0 0), 70.8°, d = 1.331 Å, rel. 11; (1 1 4), 73.7°, d = 1.286 Å, rel. 18; (2 1 2), 86.2°, d = 1.128 Å, rel. 26

---

[2]
Calculated X-ray powder pattern of FeCuOs2 for Cu Kα X-rays, from the GGA-PBE geometry in Alexandria.
Intensities are scaled so that the largest is 100.

Atomic structure:
Cell: 2.712 2.712 7.276 Å, 90.00 90.00 90.00°
Space group P4mm (No. 99)
Inequivalent atoms, fractional coordinates:
Fe 0.000 0.000 0.000
Cu 0.500 0.500 0.768
Os 0.000 0.000 0.509
Os 0.500 0.500 0.260

Main lines, in order of rising 2θ (10 to 90 degrees two-theta):
(0 0 1), 12.2°, d = 7.276 Å, rel. 53; (1 0 1), 35.3°, d = 2.541 Å, rel. 19; (0 0 3), 37.1°, d = 2.425 Å, rel. 5; (1 0 2), 41.5°, d = 2.174 Å, rel. 100; (1 1 0), 47.4°, d = 1.918 Å, rel. 34; (1 1 1), 49.1°, d = 1.854 Å, rel. 7; (0 0 4), 50.2°, d = 1.819 Å, rel. 14; (1 0 3), 50.5°, d = 1.808 Å, rel. 6; (2 0 0), 69.3°, d = 1.356 Å, rel. 11; (1 1 4), 71.5°, d = 1.320 Å, rel. 20; (2 1 2), 84.1°, d = 1.151 Å, rel. 26; (1 0 6), 88.3°, d = 1.107 Å, rel. 11

---

[3]
Calculated X-ray powder pattern of FeCu2Os for Cu Kα X-rays, from the GGA-PBE geometry in Alexandria.
Intensities are scaled so that the largest is 100.

Atomic structure:
Cell: 2.6173 2.6173 25.9938 Å, 90.00 90.00 120.00°
Space group R-3m (No. 166, hexagonal axes)
Inequivalent atoms, fractional coordinates:
Fe 0.0000 0.0000 0.0000
Cu 0.0000 0.0000 0.2522
Os 0.0000 0.0000 0.5000

Main lines, in order of rising 2θ (10 to 90 degrees two-theta):
(0 0 3), 10.2°, d = 8.665 Å, rel. 93; (0 0 6), 20.5°, d = 4.332 Å, rel. 17; (1 0 1), 39.9°, d = 2.258 Å, rel. 13; (0 0 12), 41.7°, d = 2.166 Å, rel. 34; (1 0 4), 42.2°, d = 2.140 Å, rel. 100; (0 1 5), 43.6°, d = 2.078 Å, rel. 12; (0 1 8), 49.0°, d = 1.859 Å, rel. 64; (1 0 16), 71.4°, d = 1.320 Å, rel. 20; (1 1 0), 72.2°, d = 1.309 Å, rel. 19; (0 1 20), 86.3°, d = 1.127 Å, rel. 12; (1 1 12), 87.0°, d = 1.120 Å, rel. 23; (0 2 4), 87.3°, d = 1.116 Å, rel. 12